# 1
Diffraction record for Na3IO. The powder diffractogram is calculated, not measured: it uses the GGA-PBE geometry in Alexandria and Cu Kα (weighted mean of Kα1 and Kα2).

Structure:
```
data_Na3IO
_chemical_formula_sum 'Na6 I2 O2'
_cell_length_a 4.6351
_cell_length_b 6.3976
_cell_length_c 9.7969
_cell_angle_alpha 92.79
_cell_angle_beta 103.47
_cell_angle_gamma 111.12
_symmetry_space_group_name_H-M 'P 1'
_symmetry_Int_Tables_number 1
loop_
_symmetry_equiv_pos_as_xyz
'x,y,z'
loop_
_atom_site_label
_atom_site_type_symbol
_atom_site_fract_x
_atom_site_fract_y
_atom_site_fract_z
Na1 Na 0.0000 0.0000 0.0000
Na2 Na 0.0166 0.4351 0.6128
Na3 Na 0.1302 0.8323 0.4398
Na4 Na 0.3486 0.3645 0.3438
Na5 Na 0.6653 0.0702 0.2691
Na6 Na 0.8833 0.6023 0.1728
I1 I 0.2413 0.5323 0.9545
I2 I 0.7726 0.9028 0.6581
O1 O 0.1075 0.9882 0.2347
O2 O 0.9064 0.4466 0.3780
```

Largest 6 diffraction maxima, in order of falling intensity, 5° ≤ 2θ ≤ 70°:
d/Å  I_rel  (hkl)
4.255  100  1 -1 0
3.649  99  1 0 -2
3.977  86  0 1 -2
4.704  85  0 1 1
3.142  57  0 0 3
2.318  56  -2 1 1

---

# 2
Diffraction record for Pr9Sm2Dy3. The powder diffractogram is calculated, not measured: it uses the GGA-PBE geometry in Alexandria and Cu Kα (weighted mean of Kα1 and Kα2).

Structure:
```
data_Pr9Sm2Dy3
_chemical_formula_sum 'Pr18 Sm4 Dy6'
_cell_length_a 9.2033
_cell_length_b 9.2033
_cell_length_c 13.9622
_cell_angle_alpha 90.00
_cell_angle_beta 90.00
_cell_angle_gamma 120.00
_symmetry_space_group_name_H-M 'P 63/m'
_symmetry_Int_Tables_number 176
_symmetry_space_group_name_Hall '-P 6c'
loop_
_atom_site_label
_atom_site_type_symbol
_atom_site_fract_x
_atom_site_fract_y
_atom_site_fract_z
Pr1 Pr 0.0800 0.4816 0.2500
Pr2 Pr 0.1307 0.7253 0.0396
Sm1 Sm 0.3333 0.6667 0.6420
Dy1 Dy 0.0776 0.2488 0.7500
```

Largest 6 diffraction maxima, in order of falling intensity, 5° ≤ 2θ ≤ 70°:
d/Å  I_rel  (hkl)
2.766  100  2 1 2
2.945  82  2 1 1
3.027  41  2 0 3
1.739  31  1 4 0
3.491  26  0 0 4
2.529  26  2 1 3

---

# 3
Diffraction record for Mg5Tl6Pb. The powder diffractogram is calculated, not measured: it uses the GGA-PBE geometry in Alexandria and Cu Kα (weighted mean of Kα1 and Kα2).

Structure:
```
data_Mg5Tl6Pb
_chemical_formula_sum 'Mg10 Tl12 Pb2'
_cell_length_a 5.5043
_cell_length_b 15.7759
_cell_length_c 7.2624
_cell_angle_alpha 90.00
_cell_angle_beta 91.03
_cell_angle_gamma 90.00
_symmetry_space_group_name_H-M 'C 1 2/m 1'
_symmetry_Int_Tables_number 12
loop_
_symmetry_equiv_pos_as_xyz
'x,y,z'
'-x,-y,-z'
'-x,y,-z'
'x,-y,z'
'x+1/2,y+1/2,z'
'-x+1/2,-y+1/2,-z'
'-x+1/2,y+1/2,-z'
'x+1/2,-y+1/2,z'
loop_
_atom_site_label
_atom_site_type_symbol
_atom_site_fract_x
_atom_site_fract_y
_atom_site_fract_z
Mg1 Mg 0.0000 0.0000 0.0000
Mg2 Mg 0.0000 0.3373 0.5000
Mg3 Mg 0.0000 0.3379 0.0000
Tl1 Tl 0.0009 0.5000 0.7599
Tl2 Tl 0.0022 0.1745 0.2424
Pb1 Pb 0.0000 0.0000 0.5000
```

Largest 6 diffraction maxima, in order of falling intensity, 5° ≤ 2θ ≤ 70°:
d/Å  I_rel  (hkl)
2.642  100  1 3 -2
2.610  97  1 3 2
3.802  80  1 3 0
2.752  57  2 0 0
2.629  48  0 6 0
1.901  38  2 6 0

---

# 4
Diffraction record for Tb3IrO6. The powder diffractogram is calculated, not measured: it uses the GGA-PBE geometry in Alexandria and Cu Kα (weighted mean of Kα1 and Kα2).

Structure:
```
data_Tb3IrO6
_chemical_formula_sum 'Tb18 Ir6 O36'
_cell_length_a 9.7935
_cell_length_b 9.7935
_cell_length_c 10.0550
_cell_angle_alpha 90.00
_cell_angle_beta 90.00
_cell_angle_gamma 120.00
_symmetry_space_group_name_H-M 'R -3'
_symmetry_Int_Tables_number 148
_symmetry_space_group_name_Hall '-R 3'
loop_
_atom_site_label
_atom_site_type_symbol
_atom_site_fract_x
_atom_site_fract_y
_atom_site_fract_z
Tb1 Tb 0.0467 0.7800 0.1851
Ir1 Ir 0.0000 0.0000 0.0000
Ir2 Ir 0.0000 0.0000 0.5000
O1 O 0.0306 0.8326 0.8957
O2 O 0.0375 0.8279 0.4019
```

Largest 6 diffraction maxima, in order of falling intensity, 5° ≤ 2θ ≤ 70°:
d/Å  I_rel  (hkl)
2.703  100  1 2 2
3.054  99  3 -1 1
1.978  61  3 -1 4
1.851  45  4 1 0
3.352  41  0 0 3
1.527  30  6 -2 2

---

# 5
Diffraction record for Pu2TcO8. The powder diffractogram is calculated, not measured: it uses the GGA-PBE geometry in Alexandria and Cu Kα (weighted mean of Kα1 and Kα2).

Structure:
```
data_Pu2TcO8
_chemical_formula_sum 'Pu4 Tc2 O16'
_cell_length_a 14.0766
_cell_length_b 4.1512
_cell_length_c 5.9176
_cell_angle_alpha 90.00
_cell_angle_beta 96.19
_cell_angle_gamma 90.00
_symmetry_space_group_name_H-M 'C 1 2 1'
_symmetry_Int_Tables_number 5
loop_
_symmetry_equiv_pos_as_xyz
'x,y,z'
'-x,y,-z'
'x+1/2,y+1/2,z'
'-x+1/2,y+1/2,-z'
loop_
_atom_site_label
_atom_site_type_symbol
_atom_site_fract_x
_atom_site_fract_y
_atom_site_fract_z
Pu1 Pu 0.2487 0.0000 0.2542
Tc1 Tc 0.0000 0.2388 0.5000
O1 O 0.0686 0.4729 0.7016
O2 O 0.0782 0.0047 0.3582
O3 O 0.1954 0.9929 0.9320
O4 O 0.2071 0.5036 0.4106
```

Largest 6 diffraction maxima, in order of falling intensity, 5° ≤ 2θ ≤ 70°:
d/Å  I_rel  (hkl)
6.997  100  2 0 0
3.344  58  1 1 -1
3.250  53  1 1 1
2.826  53  2 0 -2
3.499  47  4 0 0
2.228  28  5 1 -1

---

# 6
Diffraction record for BaN4F. The powder diffractogram is calculated, not measured: it uses the GGA-PBE geometry in Alexandria and Cu Kα (weighted mean of Kα1 and Kα2).

Structure:
```
data_BaN4F
_chemical_formula_sum 'Ba4 N16 F4'
_cell_length_a 4.8136
_cell_length_b 12.3635
_cell_length_c 8.4628
_cell_angle_alpha 90.00
_cell_angle_beta 101.58
_cell_angle_gamma 90.00
_symmetry_space_group_name_H-M 'C 1 2/c 1'
_symmetry_Int_Tables_number 15
loop_
_symmetry_equiv_pos_as_xyz
'x,y,z'
'-x,-y,-z'
'-x,y,-z+1/2'
'x,-y,z+1/2'
'x+1/2,y+1/2,z'
'-x+1/2,-y+1/2,-z'
'-x+1/2,y+1/2,-z+1/2'
'x+1/2,-y+1/2,z+1/2'
loop_
_atom_site_label
_atom_site_type_symbol
_atom_site_fract_x
_atom_site_fract_y
_atom_site_fract_z
Ba1 Ba 0.0000 0.1599 0.2500
N1 N 0.1828 0.3700 0.3960
N2 N 0.2306 0.4606 0.3934
F1 F 0.0000 0.2896 0.7500
```

Largest 6 diffraction maxima, in order of falling intensity, 5° ≤ 2θ ≤ 70°:
d/Å  I_rel  (hkl)
4.956  100  0 2 1
4.234  97  1 1 -1
4.145  61  0 0 2
2.523  48  0 2 3
2.896  45  0 4 1
3.103  38  1 3 0

---

# 7
Diffraction record for CaAc2W2N6. The powder diffractogram is calculated, not measured: it uses the GGA-PBE geometry in Alexandria and Cu Kα (weighted mean of Kα1 and Kα2).

Structure:
```
data_CaAc2W2N6
_chemical_formula_sum 'Ca3 Ac6 W6 N18'
_cell_length_a 6.2137
_cell_length_b 6.2137
_cell_length_c 18.3272
_cell_angle_alpha 90.00
_cell_angle_beta 90.00
_cell_angle_gamma 120.00
_symmetry_space_group_name_H-M 'R -3 m'
_symmetry_Int_Tables_number 166
_symmetry_space_group_name_Hall '-R 3 2"'
loop_
_atom_site_label
_atom_site_type_symbol
_atom_site_fract_x
_atom_site_fract_y
_atom_site_fract_z
Ca1 Ca 0.0000 0.0000 0.0000
Ac1 Ac 0.0000 0.0000 0.1971
W1 W 0.0000 0.0000 0.4269
N1 N 0.0101 0.5051 0.7600
```

Largest 6 diffraction maxima, in order of falling intensity, 5° ≤ 2θ ≤ 70°:
d/Å  I_rel  (hkl)
3.107  100  1 1 0
3.029  71  0 1 5
6.109  42  0 0 3
2.769  34  1 1 3
1.778  32  1 2 5
2.169  31  2 0 5

---

# 8
Diffraction record for In8AgBi2. The powder diffractogram is calculated, not measured: it uses the GGA-PBE geometry in Alexandria and Cu Kα (weighted mean of Kα1 and Kα2).

Structure:
```
data_In8AgBi2
_chemical_formula_sum 'In16 Ag2 Bi4'
_cell_length_a 16.9575
_cell_length_b 4.9723
_cell_length_c 7.3217
_cell_angle_alpha 90.00
_cell_angle_beta 103.91
_cell_angle_gamma 90.00
_symmetry_space_group_name_H-M 'C 1 2/m 1'
_symmetry_Int_Tables_number 12
loop_
_symmetry_equiv_pos_as_xyz
'x,y,z'
'-x,-y,-z'
'-x,y,-z'
'x,-y,z'
'x+1/2,y+1/2,z'
'-x+1/2,-y+1/2,-z'
'-x+1/2,y+1/2,-z'
'x+1/2,-y+1/2,z'
loop_
_atom_site_label
_atom_site_type_symbol
_atom_site_fract_x
_atom_site_fract_y
_atom_site_fract_z
In1 In 0.0401 0.0000 0.2321
In2 In 0.0842 0.5000 0.9251
In3 In 0.1357 0.0000 0.6676
In4 In 0.1710 0.5000 0.4019
Ag1 Ag 0.0000 0.5000 0.5000
Bi1 Bi 0.2226 0.0000 0.1375
```

Largest 6 diffraction maxima, in order of falling intensity, 5° ≤ 2θ ≤ 70°:
d/Å  I_rel  (hkl)
2.755  100  5 1 -1
2.486  19  0 2 0
2.375  16  6 0 1
2.307  15  4 0 -3
1.482  15  5 3 -1
1.717  13  6 2 1

---

# 9
Diffraction record for Rb4Cd5As6. The powder diffractogram is calculated, not measured: it uses the GGA-PBE geometry in Alexandria and Cu Kα (weighted mean of Kα1 and Kα2).

Structure:
```
data_Rb4Cd5As6
_chemical_formula_sum 'Rb16 Cd20 As24'
_cell_length_a 4.6233
_cell_length_b 21.0286
_cell_length_c 19.1516
_cell_angle_alpha 90.00
_cell_angle_beta 90.00
_cell_angle_gamma 90.00
_symmetry_space_group_name_H-M 'C m c m'
_symmetry_Int_Tables_number 63
_symmetry_space_group_name_Hall '-C 2c 2'
loop_
_atom_site_label
_atom_site_type_symbol
_atom_site_fract_x
_atom_site_fract_y
_atom_site_fract_z
Rb1 Rb 0.0000 0.0037 0.1243
Rb2 Rb 0.0000 0.1836 0.0690
Cd1 Cd 0.0000 0.1256 0.7500
Cd2 Cd 0.0000 0.2707 0.7500
Cd3 Cd 0.0000 0.3695 0.1216
Cd4 Cd 0.0000 0.4232 0.7500
As1 As 0.0000 0.1445 0.2500
As2 As 0.0000 0.1993 0.6270
As3 As 0.0000 0.4443 0.5021
As4 As 0.0000 0.4475 0.2500
```

Largest 6 diffraction maxima, in order of falling intensity, 5° ≤ 2θ ≤ 70°:
d/Å  I_rel  (hkl)
2.312  100  2 0 0
2.230  97  1 7 4
2.609  88  1 5 4
3.686  87  1 1 3
3.005  85  1 3 4
9.576  80  0 0 2

---

# 10
Diffraction record for Y2SiNiPt6. The powder diffractogram is calculated, not measured: it uses the GGA-PBE geometry in Alexandria and Cu Kα (weighted mean of Kα1 and Kα2).

Structure:
```
data_Y2SiNiPt6
_chemical_formula_sum 'Y2 Si1 Ni1 Pt6'
_cell_length_a 5.4098
_cell_length_b 6.2242
_cell_length_c 6.3756
_cell_angle_alpha 79.58
_cell_angle_beta 68.47
_cell_angle_gamma 66.54
_symmetry_space_group_name_H-M 'P -1'
_symmetry_Int_Tables_number 2
loop_
_symmetry_equiv_pos_as_xyz
'x,y,z'
'-x,-y,-z'
loop_
_atom_site_label
_atom_site_type_symbol
_atom_site_fract_x
_atom_site_fract_y
_atom_site_fract_z
Y1 Y 0.0023 0.2417 0.2739
Si1 Si 0.5000 0.5000 0.0000
Ni1 Ni 0.5000 0.0000 0.5000
Pt1 Pt 0.0018 0.7225 0.2571
Pt2 Pt 0.3719 0.9030 0.9059
Pt3 Pt 0.4937 0.3252 0.6920
```

Largest 6 diffraction maxima, in order of falling intensity, 5° ≤ 2θ ≤ 70°:
d/Å  I_rel  (hkl)
4.196  100  0 1 1
2.961  70  0 0 2
2.345  61  2 0 0
2.257  59  2 2 0
2.227  59  2 0 2
2.201  54  2 2 2

---

# 11
Diffraction record for Tb5Pm6Er. The powder diffractogram is calculated, not measured: it uses the GGA-PBE geometry in Alexandria and Cu Kα (weighted mean of Kα1 and Kα2).

Structure:
```
data_Tb5Pm6Er
_chemical_formula_sum 'Tb10 Pm12 Er2'
_cell_length_a 5.0971
_cell_length_b 10.1525
_cell_length_c 15.2860
_cell_angle_alpha 90.00
_cell_angle_beta 90.00
_cell_angle_gamma 90.00
_symmetry_space_group_name_H-M 'I m m m'
_symmetry_Int_Tables_number 71
_symmetry_space_group_name_Hall '-I 2 2'
loop_
_atom_site_label
_atom_site_type_symbol
_atom_site_fract_x
_atom_site_fract_y
_atom_site_fract_z
Tb1 Tb 0.0000 0.0000 0.0000
Tb2 Tb 0.0000 0.0000 0.3336
Tb3 Tb 0.0000 0.5000 0.3333
Pm1 Pm 0.0000 0.2494 0.5000
Pm2 Pm 0.0000 0.2504 0.1666
Er1 Er 0.0000 0.5000 0.0000
```

Largest 6 diffraction maxima, in order of falling intensity, 5° ≤ 2θ ≤ 70°:
d/Å  I_rel  (hkl)
2.938  100  1 2 3
2.548  34  2 0 0
1.536  29  3 2 3
1.798  24  2 4 0
2.538  17  0 4 0
1.532  14  1 6 3

---

# 12
Diffraction record for Ba5Na2In2. The powder diffractogram is calculated, not measured: it uses the GGA-PBE geometry in Alexandria and Cu Kα (weighted mean of Kα1 and Kα2).

Structure:
```
data_Ba5Na2In2
_chemical_formula_sum 'Ba20 Na8 In8'
_cell_length_a 19.9454
_cell_length_b 9.4640
_cell_length_c 9.4857
_cell_angle_alpha 90.00
_cell_angle_beta 90.00
_cell_angle_gamma 90.00
_symmetry_space_group_name_H-M 'C m c e'
_symmetry_Int_Tables_number 64
_symmetry_space_group_name_Hall '-C 2ac 2'
loop_
_atom_site_label
_atom_site_type_symbol
_atom_site_fract_x
_atom_site_fract_y
_atom_site_fract_z
Ba1 Ba 0.0000 0.0000 0.0000
Ba2 Ba 0.1184 0.1761 0.3238
Na1 Na 0.2192 0.0000 0.0000
In1 In 0.0000 0.1161 0.6155
```

Largest 6 diffraction maxima, in order of falling intensity, 5° ≤ 2θ ≤ 70°:
d/Å  I_rel  (hkl)
9.973  100  2 0 0
3.434  73  4 0 2
3.228  64  4 2 1
2.963  62  1 3 1
3.575  45  3 1 2
2.905  38  5 1 2